Entry 1:
This entry pairs a crystal structure of SiH3NO with its computed powder XRD pattern. Radiation: Cu Ka. Structure: a structure optimized by DFT (GGA-PBE).

Crystal structure
abc: 15.117 2.956 2.859
angles: 90.00 97.52 90.00
Space group Cm (No. 8)
Symmetry-distinct sites (fractional):
Si1 0.000 0.000 0.000 x2
H1 0.228 0.500 0.399 x2
H2 0.260 0.500 0.221 x2
H3 0.395 0.000 0.651 x2
N1 0.437 0.000 0.965 x2
O1 0.058 0.000 0.535 x2

Most intense lines, 2θ = 10–80°, low angle first:
- 2θ 11.8, 7.493 Å, I 100
- 2θ 23.7, 3.747 Å, I 8
- 2θ 30.8, 2.900 Å, I 7
- 2θ 35.3, 2.544 Å, I 13
- 2θ 37.2, 2.418 Å, I 3
- 2θ 43.0, 2.105 Å, I 4


Entry 2:
This entry pairs a crystal structure of SiH3NO with its computed powder XRD pattern. Radiation: Cu Ka. Structure: a structure optimized by DFT (GGA-PBE).

Crystal structure
abc: 2.946 4.793 4.894
angles: 60.88 88.50 72.94
Space group P1 (No. 1)
Symmetry-distinct sites (fractional):
Si1 0.000 0.000 0.000 x1
H1 0.153 0.654 0.284 x1
H2 0.159 0.712 0.746 x1
H3 0.380 0.230 0.203 x1
N1 0.400 0.209 0.002 x1
O1 0.033 0.953 0.687 x1

Most intense lines, 2θ = 10–80°, low angle first:
- 2θ 21.0, 4.233 Å, I 79
- 2θ 21.7, 4.093 Å, I 18
- 2θ 22.4, 3.965 Å, I 100
- 2θ 32.1, 2.789 Å, I 23
- 2θ 32.8, 2.731 Å, I 21
- 2θ 38.1, 2.363 Å, I 19


Entry 3:
This entry pairs a crystal structure of SiH3NO with its computed powder XRD pattern. Radiation: Cu Ka. Structure: a structure optimized by DFT (GGA-PBE).

Crystal structure
abc: 3.242 3.420 9.222
angles: 90.00 90.00 90.00
Space group Amm2 (No. 38)
Symmetry-distinct sites (fractional):
Si1 0.000 0.000 0.000 x2
H1 0.000 0.000 0.164 x2
H2 0.500 0.239 0.825 x4
N1 0.500 0.000 0.892 x2
O1 0.000 0.000 0.493 x2

Most intense lines, 2θ = 10–80°, low angle first:
- 2θ 19.3, 4.611 Å, I 100
- 2θ 27.5, 3.242 Å, I 14
- 2θ 27.8, 3.206 Å, I 19
- 2θ 33.8, 2.652 Å, I 38
- 2θ 48.5, 1.879 Å, I 18
- 2θ 75.1, 1.265 Å, I 8


Entry 4:
This entry pairs a crystal structure of TcH2NO2 with its computed powder XRD pattern. Radiation: Cu Ka. Structure: a structure optimized by DFT (GGA-PBE).

Crystal structure
abc: 6.706 6.706 9.238
angles: 90.00 90.00 90.00
Space group I4_1/a (No. 88, origin choice 2)
Symmetry-distinct sites (fractional):
Tc1 0.000 0.000 0.000 x8
H1 0.001 0.487 0.612 x16
N1 0.000 0.000 0.500 x8
O1 0.002 0.438 0.224 x16

Most intense lines, 2θ = 10–80°, low angle first:
- 2θ 16.3, 5.427 Å, I 100
- 2θ 31.4, 2.852 Å, I 22
- 2θ 33.0, 2.713 Å, I 52
- 2θ 38.0, 2.371 Å, I 45
- 2θ 39.0, 2.309 Å, I 20
- 2θ 55.5, 1.654 Å, I 23